1.
Diffraction record for Sm2GaCu7. The X-ray diffraction stick pattern is theoretical, not measured: it uses a DFT-relaxed cell (GGA-PBE, Alexandria) and Cu Kα X-rays.
Intensities are scaled so that the largest is 100.

Main lines, by angle (2θ = 15–90°):
2θ 31.22, rel. 17, (1 1 0); 2θ 34.40, rel. 64, (1 0 3); 2θ 35.12, rel. 7, (0 0 4); 2θ 35.94, rel. 100, (1 1 2); 2θ 44.74, rel. 53, (2 0 0); 2θ 47.69, rel. 7, (1 1 4); 2θ 49.98, rel. 30, (1 0 5); 2θ 57.63, rel. 28, (2 1 3); 2θ 63.54, rel. 12, (1 1 6); 2θ 65.13, rel. 16, (2 2 0); 2θ 69.31, rel. 21, (2 1 5); 2θ 76.69, rel. 21, (3 1 2)

Unit cell a=4.0510 b=4.0510 c=10.2206 alpha=90.00 beta=90.00 gamma=90.00
Element x y z (fractional)
Sm (0.0000, 0.5000, 0.2448)
Sm (0.5000, 0.0000, 0.7552)
Ga (0.0000, 0.0000, 0.5000)
Cu (0.0000, 0.0000, 0.0000)
Cu (0.0000, 0.5000, 0.6372)
Cu (0.0000, 0.5000, 0.8697)
Cu (0.5000, 0.0000, 0.1303)
Cu (0.5000, 0.0000, 0.3628)
Cu (0.5000, 0.5000, 0.0000)
Cu (0.5000, 0.5000, 0.5000)

---

2.
Diffraction record for Sm3Ga4Cu4. The X-ray diffraction stick pattern is theoretical, not measured: it uses a DFT-relaxed cell (GGA-PBE, Alexandria) and Cu Kα X-rays.
Intensities are scaled so that the largest is 100.

Main lines, by angle (2θ = 15–90°):
2θ 31.60, rel. 18, (1 1 -2); 2θ 33.08, rel. 49, (1 0 3); 2θ 33.93, rel. 100, (1 1 1); 2θ 38.43, rel. 23, (0 1 -5); 2θ 43.44, rel. 28, (0 2 -1); 2θ 44.76, rel. 49, (2 0 -1); 2θ 51.80, rel. 15, (1 0 -7); 2θ 55.67, rel. 22, (1 2 2); 2θ 60.44, rel. 12, (2 1 -6); 2θ 65.16, rel. 15, (2 1 4); 2θ 67.00, rel. 10, (1 1 -9); 2θ 73.63, rel. 10, (1 3 0)

Unit cell a=4.0489 b=4.1661 c=13.0712 alpha=99.14 beta=98.89 gamma=90.08
Element x y z (fractional)
Sm (0.0000, 0.0000, 0.0000)
Sm (0.1499, 0.6494, 0.2996)
Sm (0.8501, 0.3506, 0.7004)
Ga (0.2499, 0.2509, 0.5011)
Ga (0.4039, 0.9029, 0.8039)
Ga (0.5961, 0.0971, 0.1961)
Ga (0.7501, 0.7491, 0.4989)
Cu (0.3068, 0.8067, 0.6125)
Cu (0.4528, 0.4527, 0.9038)
Cu (0.5472, 0.5473, 0.0962)
Cu (0.6932, 0.1933, 0.3875)

---

3.
Diffraction record for SmGa4Cu2. The X-ray diffraction stick pattern is theoretical, not measured: it uses a DFT-relaxed cell (GGA-PBE, Alexandria) and Cu Kα X-rays.
Intensities are scaled so that the largest is 100.

Main lines, by angle (2θ = 15–90°):
2θ 34.58, rel. 16, (4 0 2); 2θ 35.99, rel. 100, (2 1 2); 2θ 36.30, rel. 58, (5 1 1); 2θ 37.97, rel. 27, (6 1 0); 2θ 39.58, rel. 27, (7 0 1); 2θ 41.77, rel. 42, (0 2 0); 2θ 44.47, rel. 16, (3 0 3); 2θ 58.90, rel. 16, (7 2 1); 2θ 62.65, rel. 11, (3 2 3); 2θ 69.27, rel. 17, (9 1 3); 2θ 69.86, rel. 11, (12 1 0); 2θ 72.50, rel. 12, (2 3 2)

Unit cell a=16.9990 b=4.3245 c=6.5494 alpha=90.00 beta=90.00 gamma=90.00
Element x y z (fractional)
Sm (0.1368, 0.2500, 0.0048)
Sm (0.3632, 0.7500, 0.5048)
Sm (0.6368, 0.2500, 0.4952)
Sm (0.8632, 0.7500, 0.9952)
Ga (0.0343, 0.7500, 0.8199)
Ga (0.0740, 0.2500, 0.4932)
Ga (0.1833, 0.7500, 0.3155)
Ga (0.1919, 0.7500, 0.7133)
Ga (0.3081, 0.2500, 0.2133)
Ga (0.3167, 0.2500, 0.8155)
Ga (0.4260, 0.7500, 0.9932)
Ga (0.4657, 0.2500, 0.3199)
Ga (0.5343, 0.7500, 0.6801)
Ga (0.5740, 0.2500, 0.0068)
Ga (0.6833, 0.7500, 0.1845)
Ga (0.6919, 0.7500, 0.7867)
Ga (0.8081, 0.2500, 0.2867)
Ga (0.8167, 0.2500, 0.6845)
Ga (0.9260, 0.7500, 0.5068)
Ga (0.9657, 0.2500, 0.1801)
Cu (0.0361, 0.7500, 0.2441)
Cu (0.2195, 0.2500, 0.5207)
Cu (0.2805, 0.7500, 0.0207)
Cu (0.4639, 0.2500, 0.7441)
Cu (0.5361, 0.7500, 0.2559)
Cu (0.7195, 0.2500, 0.9793)
Cu (0.7805, 0.7500, 0.4793)
Cu (0.9639, 0.2500, 0.7559)